Structure and simulated powder X-ray diffraction pattern of K2HgWO4 (a cell relaxed with PBE+U; Cu Ka).
Lines closer than 0.1° are merged.

Cell and atoms:
abc: 6.552 6.552 9.132
angles: 90.00 90.00 90.00
Fractional coordinates of all 16 atoms:
K 0.000 0.500 0.250
K 0.000 0.500 0.750
K 0.500 0.000 0.250
K 0.500 0.000 0.750
Hg 0.000 0.000 0.000
Hg 0.500 0.500 0.500
W 0.000 0.000 0.500
W 0.500 0.500 0.000
O 0.160 0.160 0.385
O 0.160 0.840 0.615
O 0.340 0.340 0.885
O 0.340 0.660 0.115
O 0.660 0.340 0.115
O 0.660 0.660 0.885
O 0.840 0.160 0.615
O 0.840 0.840 0.385

Peak list (12 most intense, 2θ from 10° to 80°, in order of rising 2θ)
2θ/deg  Rel. int.
19.2  53
19.4  24
27.2  43
27.4  100
33.7  23
38.9  20
43.8  12
44.2  10
48.2  41
48.6  22
56.6  12
60.3  12